Theoretical powder diffractogram
Compound: Ac2Mg5Cd4
Radiation: Cu Kα (λ = 1.5418 Å)
Structure: a DFT-relaxed cell (PBE, Alexandria)

Atomic structure:
```
data_Ac2Mg5Cd4
_chemical_formula_sum 'Ac4 Mg10 Cd8'
_cell_length_a 6.231
_cell_length_b 9.650
_cell_length_c 9.972
_cell_angle_alpha 90.00
_cell_angle_beta 90.00
_cell_angle_gamma 90.00
_symmetry_space_group_name_H-M 'I m m m'
_symmetry_Int_Tables_number 71
_symmetry_space_group_name_Hall '-I 2 2'
loop_
_atom_site_label
_atom_site_fract_x
_atom_site_fract_y
_atom_site_fract_z
Ac1 0.000 0.000 0.208
Mg1 0.000 0.500 0.500
Mg2 0.247 0.204 0.500
Cd1 0.000 0.341 0.252
```

Peak list (6 most intense, 2θ = 10–90°, most intense first)
(hkl)  2θ/deg  Rel. int.
1 3 2  36.23  100
0 0 2  17.79  98
1 3 0  31.30  75
2 0 2  33.93  68
2 0 0  28.65  42
3 3 2  55.82  28

---

Theoretical powder diffractogram
Compound: AcMgCd4
Radiation: Cu Kα (λ = 1.5418 Å)
Structure: a DFT-relaxed cell (PBE, Alexandria)

Atomic structure:
```
data_AcMgCd4
_chemical_formula_sum 'Ac4 Mg4 Cd16'
_cell_length_a 4.788
_cell_length_b 18.037
_cell_length_c 7.352
_cell_angle_alpha 90.00
_cell_angle_beta 90.00
_cell_angle_gamma 90.00
_symmetry_space_group_name_H-M 'C m c m'
_symmetry_Int_Tables_number 63
_symmetry_space_group_name_Hall '-C 2c 2'
loop_
_atom_site_label
_atom_site_fract_x
_atom_site_fract_y
_atom_site_fract_z
Ac1 0.000 0.121 0.250
Mg1 0.000 0.229 0.750
Cd1 0.000 0.068 0.750
Cd2 0.000 0.330 0.055
Cd3 0.000 0.500 0.000
```

Peak list (6 most intense, 2θ = 10–90°, most intense first)
(hkl)  2θ/deg  Rel. int.
1 1 2  31.06  100
1 5 1  33.40  25
2 0 0  37.57  23
2 0 4  63.80  17
0 6 2  38.69  16
1 1 1  22.70  14

---

Theoretical powder diffractogram
Compound: AcMg3Cd
Radiation: Cu Kα (λ = 1.5418 Å)
Structure: a DFT-relaxed cell (PBE, Alexandria)

Atomic structure:
```
data_AcMg3Cd
_chemical_formula_sum 'Ac2 Mg6 Cd2'
_cell_length_a 7.2237
_cell_length_b 7.2237
_cell_length_c 6.1849
_cell_angle_alpha 90.00
_cell_angle_beta 90.00
_cell_angle_gamma 120.00
_symmetry_space_group_name_H-M 'P 63/m m c'
_symmetry_Int_Tables_number 194
_symmetry_space_group_name_Hall '-P 6c 2c'
loop_
_atom_site_label
_atom_site_fract_x
_atom_site_fract_y
_atom_site_fract_z
Ac1 0.3333 0.6667 0.2500
Mg1 0.1921 0.3841 0.7500
Cd1 0.0000 0.0000 0.0000
```

Peak list (6 most intense, 2θ = 10–90°, most intense first)
(hkl)  2θ/deg  Rel. int.
1 1 0  24.65  100
1 0 1  20.19  80
2 0 1  32.07  65
1 0 2  32.29  52
2 1 1  40.86  38
2 0 2  41.04  36